Al2Si2PbO8: computed powder diffractogram (a wavelength of 1.5418 Å), based on a DFT-relaxed cell (PBE, the Materials Project).
Kinematic intensities with the Lorentz-polarization factor, no thermal factor.

Structure:
```
data_Al2Si2PbO8
_chemical_formula_sum 'Al16 Si16 Pb8 O64'
_cell_length_a 13.300
_cell_length_b 13.216
_cell_length_c 8.490
_cell_angle_alpha 90.00
_cell_angle_beta 99.97
_cell_angle_gamma 90.00
_space_group_name_H-M_alt 'C 1 2/c 1'
_space_group_IT_number 15
loop_
_space_group_symop_operation_xyz
'x,y,z'
'-x,-y,-z'
'-x,y,-z+1/2'
'x,-y,z+1/2'
'x+1/2,y+1/2,z'
'-x+1/2,-y+1/2,-z'
'-x+1/2,y+1/2,-z+1/2'
'x+1/2,-y+1/2,z+1/2'
loop_
_atom_site_label
_atom_site_fract_x
_atom_site_fract_y
_atom_site_fract_z
_atom_site_occupancy
Al1 0.078 0.130 0.023 1
Al2 0.134 0.429 0.387 1
Si1 0.077 0.363 0.014 1
Si2 0.141 0.074 0.397 1
Pb1 0.176 0.256 0.696 1
O1 0.048 0.368 0.496 1
O2 0.056 0.126 0.492 1
O3 0.104 0.250 0.950 1
O4 0.117 0.440 0.889 1
O5 0.128 0.048 0.894 1
O6 0.134 0.379 0.198 1
O7 0.141 0.120 0.220 1
O8 0.250 0.116 0.501 1
```

Principal peaks in the range 10 to 90 degrees two-theta, low angle first:
| d [Å] | Rel. int. | h k l |
| --- | --- | --- |
| 6.608 | 91 | 0 2 0 |
| 5.870 | 76 | 1 1 1 |
| 4.652 | 37 | 2 2 0 |
| 3.656 | 44 | 1 3 1 |
| 3.533 | 39 | 0 2 2 |
| 3.493 | 85 | 3 1 1 |
| 3.319 | 100 | 2 2 -2 |
| 3.032 | 61 | 3 3 -1 |
| 2.798 | 51 | 3 3 1 |
| 2.593 | 45 | 0 4 2 |